Diffraction record for SmTlW2O8. The XRD peak list is theoretical, not measured: it uses the PBE+U geometry in Alexandria and Cu Kα.
No peak broadening, texture or thermal motion is included.

Largest 6 diffraction maxima, in order of rising 2θ, 10 to 90 degrees two-theta:
- 26.78 deg, I = 100
- 28.89 deg, I = 76
- 31.19 deg, I = 31
- 32.56 deg, I = 17
- 33.01 deg, I = 17
- 55.29 deg, I = 20

Structural model:
```
SmTlW2O8
1.0
5.537 -5.428 0.000
5.537 5.428 0.000
-4.874 0.000 5.735
Sm Tl W O
2 2 4 16
direct
0.224 0.776 0.750 Sm
0.776 0.224 0.250 Sm
0.214 0.786 0.250 Tl
0.786 0.214 0.750 Tl
0.301 0.310 0.784 W
0.310 0.301 0.284 W
0.690 0.699 0.716 W
0.699 0.690 0.216 W
0.047 0.225 0.191 O
0.064 0.372 0.629 O
0.225 0.047 0.691 O
0.251 0.376 0.059 O
0.372 0.064 0.129 O
0.373 0.589 0.531 O
0.376 0.251 0.559 O
0.411 0.627 0.969 O
0.589 0.373 0.031 O
0.624 0.749 0.441 O
0.627 0.411 0.469 O
0.628 0.936 0.871 O
0.749 0.624 0.941 O
0.775 0.953 0.309 O
0.936 0.628 0.371 O
0.953 0.775 0.809 O
```